# CaCd3
Calculated X-ray diffraction stick pattern, Cu Kα. Input: a structure optimized by DFT (GGA-PBE).
Lines closer than 0.1° are merged.

Structure:
```
data_CaCd3
_space_group_name_H-M_alt 'P 1'
_space_group_IT_number 1
_cell_length_a 4.9121
_cell_length_b 6.5450
_cell_length_c 6.3257
_cell_angle_alpha 90.00
_cell_angle_beta 90.00
_cell_angle_gamma 90.00
loop_
_space_group_symop_operation_xyz
'x,y,z'
loop_
_atom_site_label
_atom_site_type_symbol
_atom_site_fract_x
_atom_site_fract_y
_atom_site_fract_z
_atom_site_occupancy
Ca1 Ca 0.2500 0.2500 0.1128 1
Ca2 Ca 0.7500 0.7500 0.8872 1
Cd1 Cd 0.2500 0.9995 0.6475 1
Cd2 Cd 0.2500 0.5005 0.6475 1
Cd3 Cd 0.2500 0.7500 0.2338 1
Cd4 Cd 0.7500 0.0005 0.3525 1
Cd5 Cd 0.7500 0.2500 0.7662 1
Cd6 Cd 0.7500 0.4995 0.3525 1
```

Top 8 peaks for 10° ≤ 2θ ≤ 80°, sorted by position:
6.326 Å, I = 20, (0 0 1); 4.549 Å, I = 16, (0 1 1); 2.907 Å, I = 24, (0 2 1); 2.659 Å, I = 46, (1 0 2); 2.501 Å, I = 100, (1 2 1); 2.456 Å, I = 33, (2 0 0); 2.064 Å, I = 15, (1 2 2); 1.427 Å, I = 16, (3 2 1)